# Li2Mn3SbO8
Theoretical X-ray diffraction stick pattern, Cu Kα (weighted mean of Kα1 and Kα2). Input: a cell relaxed with PBE+U.
No peak broadening, texture or thermal motion is included.

Crystal structure
```
Li2Mn3SbO8
1.0
6.043 0.000 0.000
-0.008 6.077 0.000
-3.013 -2.839 4.476
Li Mn Sb O
2 3 1 8
Direct
0.000 0.000 0.000
0.500 0.000 0.000
0.000 0.500 0.999
0.499 0.000 0.500
0.500 0.500 0.000
0.999 0.000 0.500
0.233 0.193 0.457
0.244 0.244 0.948
0.258 0.789 0.508
0.306 0.757 0.069
0.693 0.242 0.931
0.741 0.211 0.492
0.756 0.756 0.052
0.766 0.807 0.543
```

Most intense lines, 2θ = 15–90°, sorted by position:
index	d [Å]	Rel. int.
0 1 -1	4.924	100
0 1 1	2.726	18
2 1 -1	2.604	27
0 0 2	2.238	20
2 2 -2	2.141	37
-2 2 2	1.572	12